# MnPd3F9
Calculated powder diffractogram, Cu Kα (weighted mean of Kα1 and Kα2). Input: a DFT-relaxed cell (PBE+U, Alexandria).

a b c (Å): 15.312 6.649 11.149
angles (deg): 90.00 131.06 90.00
Space group Cc (No. 9)
Asymmetric unit:
Mn 0.000 0.244 0.000 (multiplicity 4)
Pd 0.096 0.047 0.773 (multiplicity 4)
Pd 0.248 0.491 0.752 (multiplicity 4)
Pd 0.412 0.033 0.731 (multiplicity 4)
F 0.006 0.296 0.180 (multiplicity 4)
F 0.076 0.491 0.018 (multiplicity 4)
F 0.142 0.113 0.152 (multiplicity 4)
F 0.158 0.344 0.806 (multiplicity 4)
F 0.259 0.009 0.998 (multiplicity 4)
F 0.327 0.290 0.709 (multiplicity 4)
F 0.358 0.130 0.342 (multiplicity 4)
F 0.423 0.500 0.481 (multiplicity 4)
F 0.492 0.315 0.320 (multiplicity 4)

Most intense lines, 2θ from 5° to 70°, in order of rising 2θ:
(hkl), d/Å, 2θ (°), I (rel.)
0 0 2, 4.203, 21.1, 41
1 1 1, 4.159, 21.4, 21
3 1 -2, 3.907, 22.8, 100
3 1 0, 3.329, 26.8, 60
0 2 2, 2.608, 34.4, 19
6 0 -4, 2.414, 37.3, 12
0 0 4, 2.102, 43.0, 13
3 1 2, 2.095, 43.2, 26
3 3 -2, 2.014, 45.0, 20
6 2 -4, 1.953, 46.5, 20
6 2 0, 1.665, 55.1, 15
9 1 -6, 1.564, 59.1, 12